Record 1
This entry pairs a crystal structure of PmPt4Au8 with its theoretical powder diffractogram. Radiation: Cu Ka. Structure: a DFT-relaxed cell (PBE, Alexandria).
Neutral-atom scattering factors, no anomalous dispersion.

Main lines, sorted by position (2θ = 10–90°):
d/Å, Position (°2θ), I (rel.)
2.725, 32.87, 38
2.421, 37.14, 61
2.352, 38.26, 75
2.331, 38.63, 66
2.148, 42.06, 100
2.100, 43.07, 23
2.085, 43.41, 37
1.525, 60.73, 20
1.362, 68.93, 30
1.350, 69.66, 26

Structural model:
abc: 9.3232 9.3232 5.6650
angles: 90.00 90.00 90.00
Space group I4/mmm (No. 139)
Symmetry-distinct sites (fractional):
Pm1 0.0000 0.0000 0.0000 [2 per cell]
Pt1 0.2500 0.2500 0.2500 [8 per cell]
Au1 0.0000 0.2175 0.5000 [8 per cell]
Au2 0.0000 0.3336 0.0000 [8 per cell]


Record 2
This entry pairs a crystal structure of La2Pr4Nd2Th with its theoretical powder diffractogram. Radiation: Cu Ka. Structure: a DFT-relaxed cell (PBE, Alexandria).
Neutral-atom scattering factors, no anomalous dispersion.

Main lines, sorted by position (2θ = 10–90°):
d/Å, Position (°2θ), I (rel.)
3.204, 27.85, 47
2.977, 30.01, 59
2.913, 30.69, 42
2.904, 30.79, 83
2.764, 32.39, 100
2.324, 38.75, 25
1.865, 48.83, 30
1.736, 52.72, 20
1.646, 55.85, 19
1.581, 58.38, 35

Structural model:
abc: 19.4054 3.7176 9.9159
angles: 90.00 115.73 90.00
Space group C2/m (No. 12)
Symmetry-distinct sites (fractional):
La1 0.1625 0.0000 0.9999 [4 per cell]
Pr1 0.0168 0.0000 0.3235 [4 per cell]
Pr2 0.1830 0.5000 0.3299 [4 per cell]
Nd1 0.1483 0.5000 0.6678 [4 per cell]
Th1 0.0000 0.5000 0.0000 [2 per cell]